# V3PdO9
Simulated XRD peak list, Cu Kα, 1.54184 Å. Input: a PBE+U-relaxed structure.
Intensities are scaled so that the largest is 1000.

Crystal structure
a = 14.212 Å, b = 7.179 Å, c = 10.204 Å
α = 90.00°, β = 125.33°, γ = 90.00°
Space group Cc (No. 9)
One atom of each set of equivalent atoms:
V (0.000, 0.017, 0.000) (multiplicity 4)
V (0.120, 0.389, 0.926) (multiplicity 4)
V (0.381, 0.111, 0.574) (multiplicity 4)
Pd (0.250, 0.250, 0.750) (multiplicity 4)
O (0.001, 0.499, 0.250) (multiplicity 4)
O (0.069, 0.163, 0.939) (multiplicity 4)
O (0.100, 0.115, 0.661) (multiplicity 4)
O (0.159, 0.485, 0.588) (multiplicity 4)
O (0.237, 0.370, 0.918) (multiplicity 4)
O (0.263, 0.129, 0.582) (multiplicity 4)
O (0.341, 0.015, 0.912) (multiplicity 4)
O (0.401, 0.384, 0.840) (multiplicity 4)
O (0.430, 0.338, 0.560) (multiplicity 4)

The 10 most intense peaks (10° ≤ 2θ ≤ 90°), in order of rising 2θ:
| hkl | 2theta | I_rel |
| --- | --- | --- |
| 1 1 -1 | 15.2 | 360 |
| 1 1 1 | 20.5 | 1000 |
| 3 1 -2 | 23.9 | 342 |
| 4 0 -2 | 25.3 | 134 |
| 3 1 0 | 26.2 | 155 |
| 2 2 0 | 29.3 | 196 |
| 3 1 -3 | 29.4 | 230 |
| 2 0 2 | 33.0 | 232 |
| 4 0 -4 | 35.7 | 108 |
| 4 4 0 | 60.7 | 112 |